Record 1
For NaLa2Ti2, a DFT-relaxed cell (GGA-PBE, Alexandria) gives the theoretical PXRD pattern in this record (Cu Kα, 1.54184 Å).

Structure:
```
data_NaLa2Ti2
_cell_length_a 9.1985
_cell_length_b 9.1985
_cell_length_c 3.2992
_cell_angle_alpha 90.00
_cell_angle_beta 90.00
_cell_angle_gamma 90.00
_symmetry_space_group_name_H-M 'P 4/m b m'
_symmetry_Int_Tables_number 127
_symmetry_space_group_name_Hall '-P 4 2ab'
loop_
_atom_site_label
_atom_site_type_symbol
_atom_site_fract_x
_atom_site_fract_y
_atom_site_fract_z
_atom_site_occupancy
Na1 Na 0.0000 0.0000 0.0000 1
La1 La 0.1939 0.3061 0.5000 1
Ti1 Ti 0.0987 0.5987 0.0000 1
```

Principal peaks in the range 2θ = 10–90°, low angle first:
6.504 Å, 2θ 13.6, I 28, hkl 1 1 0
4.599 Å, 2θ 19.3, I 53, hkl 2 0 0
4.114 Å, 2θ 21.6, I 45, hkl 2 1 0
3.252 Å, 2θ 27.4, I 37, hkl 2 2 0
2.909 Å, 2θ 30.7, I 25, hkl 3 1 0
2.681 Å, 2θ 33.4, I 82, hkl 2 0 1
2.574 Å, 2θ 34.9, I 100, hkl 2 1 1
2.551 Å, 2θ 35.2, I 31, hkl 3 2 0
2.231 Å, 2θ 40.4, I 57, hkl 4 1 0
1.848 Å, 2θ 49.3, I 38, hkl 4 1 1
1.423 Å, 2θ 65.6, I 18, hkl 5 3 1
1.326 Å, 2θ 71.1, I 21, hkl 4 1 2

***

Record 2
For NaLa4Tl3, a DFT-relaxed cell (GGA-PBE, Alexandria) gives the theoretical PXRD pattern in this record (Cu Kα, 1.54184 Å).

Structure:
```
data_NaLa4Tl3
_cell_length_a 5.5775
_cell_length_b 5.5775
_cell_length_c 16.4590
_cell_angle_alpha 90.00
_cell_angle_beta 90.00
_cell_angle_gamma 90.00
_symmetry_space_group_name_H-M 'I 4/m m m'
_symmetry_Int_Tables_number 139
_symmetry_space_group_name_Hall '-I 4 2'
loop_
_atom_site_label
_atom_site_type_symbol
_atom_site_fract_x
_atom_site_fract_y
_atom_site_fract_z
_atom_site_occupancy
Na1 Na 0.0000 0.0000 0.0000 1
La1 La 0.0000 0.5000 0.1289 1
Tl1 Tl 0.0000 0.0000 0.2468 1
Tl2 Tl 0.0000 0.0000 0.5000 1
```

Principal peaks in the range 2θ = 10–90°, low angle first:
8.230 Å, 2θ 10.8, I 9, hkl 0 0 2
5.282 Å, 2θ 16.8, I 9, hkl 1 0 1
2.847 Å, 2θ 31.4, I 100, hkl 1 1 4
2.789 Å, 2θ 32.1, I 48, hkl 2 0 0
2.057 Å, 2θ 44.0, I 10, hkl 0 0 8
1.972 Å, 2θ 46.0, I 18, hkl 2 2 0
1.656 Å, 2θ 55.5, I 20, hkl 2 0 8
1.621 Å, 2θ 56.8, I 38, hkl 3 1 4
1.424 Å, 2θ 65.6, I 12, hkl 2 2 8
1.295 Å, 2θ 73.0, I 8, hkl 1 1 12
1.252 Å, 2θ 76.0, I 8, hkl 3 3 4
1.247 Å, 2θ 76.4, I 8, hkl 4 2 0

***

Record 3
For Na3La2Tl4, a DFT-relaxed cell (GGA-PBE, Alexandria) gives the theoretical PXRD pattern in this record (Cu Kα, 1.54184 Å).

Structure:
```
data_Na3La2Tl4
_cell_length_a 6.6078
_cell_length_b 19.3161
_cell_length_c 8.5938
_cell_angle_alpha 90.00
_cell_angle_beta 90.00
_cell_angle_gamma 90.00
_symmetry_space_group_name_H-M 'C m c e'
_symmetry_Int_Tables_number 64
_symmetry_space_group_name_Hall '-C 2ac 2'
loop_
_atom_site_label
_atom_site_type_symbol
_atom_site_fract_x
_atom_site_fract_y
_atom_site_fract_z
_atom_site_occupancy
Na1 Na 0.0000 0.0000 0.0000 1
Na2 Na 0.2500 0.2320 0.2500 1
La1 La 0.0000 0.0944 0.5982 1
Tl1 Tl 0.0000 0.1552 0.9652 1
Tl2 Tl 0.2500 0.0659 0.2500 1
```

Principal peaks in the range 2θ = 10–90°, low angle first:
4.829 Å, 2θ 18.4, I 55, hkl 0 4 0
4.210 Å, 2θ 21.1, I 41, hkl 0 4 1
4.063 Å, 2θ 21.9, I 68, hkl 1 3 1
3.109 Å, 2θ 28.7, I 35, hkl 1 5 1
2.938 Å, 2θ 30.4, I 90, hkl 2 2 1
2.746 Å, 2θ 32.6, I 80, hkl 0 2 3
2.619 Å, 2θ 34.2, I 100, hkl 2 0 2
2.601 Å, 2θ 34.5, I 58, hkl 2 4 1
2.576 Å, 2θ 34.8, I 44, hkl 0 6 2
2.441 Å, 2θ 36.8, I 44, hkl 1 7 1
2.304 Å, 2θ 39.1, I 34, hkl 2 6 0
1.572 Å, 2θ 58.7, I 32, hkl 2 6 4

***

Record 4
For NaLa2Tl3, a DFT-relaxed cell (GGA-PBE, Alexandria) gives the theoretical PXRD pattern in this record (Cu Kα, 1.54184 Å).

Structure:
```
data_NaLa2Tl3
_cell_length_a 5.4914
_cell_length_b 16.6063
_cell_length_c 7.9368
_cell_angle_alpha 90.00
_cell_angle_beta 90.00
_cell_angle_gamma 90.00
_symmetry_space_group_name_H-M 'C m m m'
_symmetry_Int_Tables_number 65
_symmetry_space_group_name_Hall '-C 2 2'
loop_
_atom_site_label
_atom_site_type_symbol
_atom_site_fract_x
_atom_site_fract_y
_atom_site_fract_z
_atom_site_occupancy
Na1 Na 0.0000 0.1671 0.0000 1
La1 La 0.0000 0.1637 0.5000 1
La2 La 0.0000 0.5000 0.0000 1
La3 La 0.0000 0.5000 0.5000 1
Tl1 Tl 0.0000 0.0000 0.2386 1
Tl2 Tl 0.0000 0.3277 0.2367 1
```

Principal peaks in the range 2θ = 10–90°, low angle first:
3.898 Å, 2θ 22.8, I 13, hkl 1 3 0
2.781 Å, 2θ 32.2, I 100, hkl 1 3 2
2.768 Å, 2θ 32.3, I 25, hkl 0 6 0
2.746 Å, 2θ 32.6, I 25, hkl 2 0 0
1.984 Å, 2θ 45.7, I 9, hkl 0 0 4
1.949 Å, 2θ 46.6, I 18, hkl 2 6 0
1.613 Å, 2θ 57.1, I 9, hkl 0 6 4
1.608 Å, 2θ 57.3, I 9, hkl 2 0 4
1.600 Å, 2θ 57.6, I 18, hkl 1 9 2
1.592 Å, 2θ 57.9, I 19, hkl 3 3 2
1.391 Å, 2θ 67.3, I 11, hkl 2 6 4
1.235 Å, 2θ 77.2, I 12, hkl 3 9 2

***

Record 5
For NaLa2Tl2, a DFT-relaxed cell (GGA-PBE, Alexandria) gives the theoretical PXRD pattern in this record (Cu Kα, 1.54184 Å).

Structure:
```
data_NaLa2Tl2
_cell_length_a 9.1961
_cell_length_b 9.1961
_cell_length_c 3.9325
_cell_angle_alpha 90.00
_cell_angle_beta 90.00
_cell_angle_gamma 90.00
_symmetry_space_group_name_H-M 'P 4/m b m'
_symmetry_Int_Tables_number 127
_symmetry_space_group_name_Hall '-P 4 2ab'
loop_
_atom_site_label
_atom_site_type_symbol
_atom_site_fract_x
_atom_site_fract_y
_atom_site_fract_z
_atom_site_occupancy
Na1 Na 0.0000 0.0000 0.0000 1
La1 La 0.1710 0.3290 0.5000 1
Tl1 Tl 0.1271 0.6271 0.0000 1
```

Principal peaks in the range 2θ = 10–90°, low angle first:
6.503 Å, 2θ 13.6, I 40, hkl 1 1 0
2.908 Å, 2θ 30.7, I 29, hkl 3 1 0
2.842 Å, 2θ 31.5, I 100, hkl 2 1 1
2.551 Å, 2θ 35.2, I 13, hkl 3 2 0
2.299 Å, 2θ 39.2, I 14, hkl 4 0 0
2.168 Å, 2θ 41.7, I 11, hkl 3 3 0
2.140 Å, 2θ 42.2, I 12, hkl 3 2 1
1.966 Å, 2θ 46.2, I 9, hkl 0 0 2
1.940 Å, 2θ 46.8, I 8, hkl 4 1 1
1.629 Å, 2θ 56.5, I 10, hkl 3 1 2
1.566 Å, 2θ 59.0, I 17, hkl 5 2 1
1.249 Å, 2θ 76.2, I 8, hkl 2 1 3

***

Record 6
For NaLaTm2, a DFT-relaxed cell (GGA-PBE, Alexandria) gives the theoretical PXRD pattern in this record (Cu Kα, 1.54184 Å).

Structure:
```
data_NaLaTm2
_cell_length_a 3.5192
_cell_length_b 3.5192
_cell_length_c 38.0228
_cell_angle_alpha 90.00
_cell_angle_beta 90.00
_cell_angle_gamma 120.00
_symmetry_space_group_name_H-M 'R -3 m'
_symmetry_Int_Tables_number 166
_symmetry_space_group_name_Hall '-R 3 2"'
loop_
_atom_site_label
_atom_site_type_symbol
_atom_site_fract_x
_atom_site_fract_y
_atom_site_fract_z
_atom_site_occupancy
Na1 Na 0.0000 0.0000 0.0000 1
La1 La 0.0000 0.0000 0.5000 1
Tm1 Tm 0.0000 0.0000 0.0915 1
```

Principal peaks in the range 2θ = 10–90°, low angle first:
6.337 Å, 2θ 14.0, I 30, hkl 0 0 6
3.169 Å, 2θ 28.2, I 45, hkl 0 0 12
3.038 Å, 2θ 29.4, I 18, hkl 1 0 1
3.009 Å, 2θ 29.7, I 56, hkl 0 1 2
2.829 Å, 2θ 31.6, I 100, hkl 0 1 5
2.658 Å, 2θ 33.7, I 47, hkl 1 0 7
2.378 Å, 2θ 37.8, I 66, hkl 1 0 10
1.803 Å, 2θ 50.6, I 26, hkl 0 1 17
1.760 Å, 2θ 52.0, I 32, hkl 1 1 0
1.538 Å, 2θ 60.2, I 32, hkl 1 1 12
1.503 Å, 2θ 61.7, I 19, hkl 1 0 22
1.445 Å, 2θ 64.5, I 17, hkl 1 1 15

***

Record 7
For Na2LaZn9, a DFT-relaxed cell (GGA-PBE, Alexandria) gives the theoretical PXRD pattern in this record (Cu Kα, 1.54184 Å).

Structure:
```
data_Na2LaZn9
_cell_length_a 5.4598
_cell_length_b 5.4598
_cell_length_c 25.9783
_cell_angle_alpha 90.00
_cell_angle_beta 90.00
_cell_angle_gamma 120.00
_symmetry_space_group_name_H-M 'R -3 m'
_symmetry_Int_Tables_number 166
_symmetry_space_group_name_Hall '-R 3 2"'
loop_
_atom_site_label
_atom_site_type_symbol
_atom_site_fract_x
_atom_site_fract_y
_atom_site_fract_z
_atom_site_occupancy
Na1 Na 0.0000 0.0000 0.1443 1
La1 La 0.0000 0.0000 0.0000 1
Zn1 Zn 0.0000 0.0000 0.3345 1
Zn2 Zn 0.0000 0.0000 0.5000 1
Zn3 Zn 0.0036 0.5018 0.9166 1
```

Principal peaks in the range 2θ = 10–90°, low angle first:
8.659 Å, 2θ 10.2, I 39, hkl 0 0 3
3.823 Å, 2θ 23.3, I 19, hkl 1 0 4
2.730 Å, 2θ 32.8, I 19, hkl 1 1 0
2.677 Å, 2θ 33.5, I 17, hkl 0 1 8
2.354 Å, 2θ 38.2, I 30, hkl 0 2 1
2.326 Å, 2θ 38.7, I 21, hkl 2 0 2
2.309 Å, 2θ 39.0, I 100, hkl 1 1 6
2.165 Å, 2θ 41.7, I 30, hkl 0 0 12
2.152 Å, 2θ 42.0, I 21, hkl 2 0 5
1.481 Å, 2θ 62.7, I 23, hkl 3 0 6
1.365 Å, 2θ 68.8, I 21, hkl 2 2 0
1.155 Å, 2θ 83.8, I 21, hkl 2 2 12

***

Record 8
For LaNb4, a DFT-relaxed cell (GGA-PBE, Alexandria) gives the theoretical PXRD pattern in this record (Cu Kα, 1.54184 Å).

Structure:
```
data_LaNb4
_cell_length_a 4.8647
_cell_length_b 4.8647
_cell_length_c 4.8647
_cell_angle_alpha 90.00
_cell_angle_beta 90.00
_cell_angle_gamma 90.00
_symmetry_space_group_name_H-M 'P m -3 m'
_symmetry_Int_Tables_number 221
_symmetry_space_group_name_Hall '-P 4 2 3'
loop_
_atom_site_label
_atom_site_type_symbol
_atom_site_fract_x
_atom_site_fract_y
_atom_site_fract_z
_atom_site_occupancy
La1 La 0.0000 0.0000 0.0000 1
Nb1 Nb 0.0000 0.0000 0.5000 1
Nb2 Nb 0.5000 0.5000 0.5000 1
```

Principal peaks in the range 2θ = 10–90°, low angle first:
4.865 Å, 2θ 18.2, I 41, hkl 1 0 0
3.440 Å, 2θ 25.9, I 35, hkl 1 1 0
2.809 Å, 2θ 31.9, I 45, hkl 1 1 1
2.432 Å, 2θ 37.0, I 100, hkl 2 0 0
2.176 Å, 2θ 41.5, I 20, hkl 2 1 0
1.986 Å, 2θ 45.7, I 15, hkl 2 1 1
1.720 Å, 2θ 53.3, I 68, hkl 2 2 0
1.622 Å, 2θ 56.8, I 10, hkl 3 0 0
1.467 Å, 2θ 63.4, I 17, hkl 3 1 1
1.404 Å, 2θ 66.6, I 23, hkl 2 2 2
1.300 Å, 2θ 72.7, I 8, hkl 3 2 1
1.216 Å, 2θ 78.7, I 11, hkl 4 0 0